Calculated X-ray diffraction stick pattern
Compound: Pm5Pr12Y
Radiation: Cu Kα (weighted mean of Kα1 and Kα2)
Structure: a cell relaxed with PBE
Lines closer than 0.1° are merged.

Structural model:
Unit cell a=10.686 b=10.686 c=5.971 alpha=90.05 beta=90.05 gamma=110.36
Sites, in units of the cell vectors:
Pm1 0.000 0.000 0.000
Pm2 0.137 0.863 0.500
Pm3 0.364 0.636 0.000
Pm4 0.636 0.364 0.000
Pm5 0.863 0.137 0.500
Pr1 0.027 0.669 0.991
Pr2 0.169 0.527 0.508
Pr3 0.201 0.201 0.447
Pr4 0.303 0.303 0.949
Pr5 0.331 0.973 0.009
Pr6 0.473 0.831 0.492
Pr7 0.527 0.169 0.508
Pr8 0.669 0.027 0.991
Pr9 0.697 0.697 0.051
Pr10 0.799 0.799 0.553
Pr11 0.831 0.473 0.492
Pr12 0.973 0.331 0.009
Y1 0.500 0.500 0.500

Peak list (8 most intense, 10 to 90 degrees two-theta, in order of rising 2θ)
- 2θ 29.93, I 43
- 2θ 30.44, I 20
- 2θ 30.63, I 100
- 2θ 30.69, I 70
- 2θ 43.31, I 21
- 2θ 53.61, I 24
- 2θ 54.41, I 13
- 2θ 60.55, I 18

Calculated X-ray diffraction stick pattern
Compound: PmPr3Zn8
Radiation: Cu Kα (weighted mean of Kα1 and Kα2)
Structure: a cell relaxed with PBE
Lines closer than 0.1° are merged.

Structural model:
Unit cell a=5.723 b=5.723 c=8.771 alpha=90.00 beta=90.00 gamma=120.00
Sites, in units of the cell vectors:
Pm1 0.000 0.000 0.000
Pr1 0.000 0.000 0.395
Pr2 0.667 0.333 0.498
Pr3 0.667 0.333 0.896
Zn1 0.008 0.504 0.196
Zn2 0.169 0.338 0.699
Zn3 0.169 0.831 0.699
Zn4 0.333 0.667 0.449
Zn5 0.333 0.667 0.947
Zn6 0.496 0.504 0.196
Zn7 0.496 0.992 0.196
Zn8 0.662 0.831 0.699

Peak list (8 most intense, 10 to 90 degrees two-theta, in order of rising 2θ)
- 2θ 31.26, I 49
- 2θ 35.65, I 59
- 2θ 37.53, I 100
- 2θ 37.72, I 50
- 2θ 55.61, I 18
- 2θ 58.52, I 29
- 2θ 59.82, I 25
- 2θ 65.18, I 49

Calculated X-ray diffraction stick pattern
Compound: Pm3Pr2Zn2
Radiation: Cu Kα (weighted mean of Kα1 and Kα2)
Structure: a cell relaxed with PBE
Lines closer than 0.1° are merged.

Structural model:
Unit cell a=6.400 b=6.400 c=8.279 alpha=114.14 beta=114.14 gamma=43.73
Sites, in units of the cell vectors:
Pm1 0.000 0.000 0.000
Pm2 0.134 0.134 0.469
Pm3 0.866 0.866 0.531
Pr1 0.359 0.359 0.198
Pr2 0.641 0.641 0.802
Zn1 0.356 0.356 0.807
Zn2 0.644 0.644 0.193

Peak list (8 most intense, 10 to 90 degrees two-theta, in order of rising 2θ)
- 2θ 25.51, I 30
- 2θ 28.65, I 75
- 2θ 29.34, I 100
- 2θ 32.13, I 33
- 2θ 33.62, I 26
- 2θ 34.44, I 56
- 2θ 37.09, I 30
- 2θ 37.74, I 52

Calculated X-ray diffraction stick pattern
Compound: PmPr3Zn2
Radiation: Cu Kα (weighted mean of Kα1 and Kα2)
Structure: a cell relaxed with PBE
Lines closer than 0.1° are merged.

Structural model:
Unit cell a=3.717 b=3.717 c=12.565 alpha=90.00 beta=90.00 gamma=90.00
Sites, in units of the cell vectors:
Pm1 0.000 0.000 0.000
Pr1 0.500 0.500 0.208
Pr2 0.500 0.500 0.500
Pr3 0.500 0.500 0.792
Zn1 0.000 0.000 0.353
Zn2 0.000 0.000 0.647

Peak list (8 most intense, 10 to 90 degrees two-theta, in order of rising 2θ)
- 2θ 27.89, I 17
- 2θ 32.20, I 100
- 2θ 34.12, I 57
- 2θ 37.49, I 11
- 2θ 44.97, I 10
- 2θ 49.02, I 20
- 2θ 56.97, I 9
- 2θ 59.87, I 33

Calculated X-ray diffraction stick pattern
Compound: PmPr4Zn4
Radiation: Cu Kα (weighted mean of Kα1 and Kα2)
Structure: a cell relaxed with PBE
Lines closer than 0.1° are merged.

Structural model:
Unit cell a=7.456 b=7.456 c=7.456 alpha=96.96 beta=96.96 gamma=139.26
Sites, in units of the cell vectors:
Pm1 0.000 0.000 0.000
Pr1 0.115 0.657 0.772
Pr2 0.343 0.115 0.459
Pr3 0.657 0.885 0.541
Pr4 0.885 0.343 0.228
Zn1 0.327 0.428 0.755
Zn2 0.428 0.673 0.101
Zn3 0.572 0.327 0.899
Zn4 0.673 0.572 0.245

Peak list (8 most intense, 10 to 90 degrees two-theta, in order of rising 2θ)
- 2θ 26.49, I 100
- 2θ 28.56, I 59
- 2θ 32.18, I 32
- 2θ 34.56, I 46
- 2θ 37.09, I 85
- 2θ 41.49, I 25
- 2θ 45.42, I 33
- 2θ 59.58, I 27

Calculated X-ray diffraction stick pattern
Compound: Pm2PrZn6
Radiation: Cu Kα (weighted mean of Kα1 and Kα2)
Structure: a cell relaxed with PBE
Lines closer than 0.1° are merged.

Structural model:
Unit cell a=7.919 b=7.919 c=3.619 alpha=90.00 beta=90.00 gamma=120.00
Sites, in units of the cell vectors:
Pm1 0.333 0.667 0.000
Pm2 0.667 0.333 0.000
Pr1 0.000 0.000 0.000
Zn1 0.000 0.335 0.500
Zn2 0.000 0.665 0.500
Zn3 0.335 0.000 0.500
Zn4 0.335 0.335 0.500
Zn5 0.665 0.000 0.500
Zn6 0.665 0.665 0.500

Peak list (8 most intense, 10 to 90 degrees two-theta, in order of rising 2θ)
- 2θ 22.46, I 16
- 2θ 33.55, I 100
- 2θ 39.42, I 57
- 2θ 50.44, I 9
- 2θ 52.70, I 27
- 2θ 65.83, I 24
- 2θ 67.76, I 25
- 2θ 71.48, I 9

Calculated X-ray diffraction stick pattern
Compound: Pm2PrZn3
Radiation: Cu Kα (weighted mean of Kα1 and Kα2)
Structure: a cell relaxed with PBE
Lines closer than 0.1° are merged.

Structural model:
Unit cell a=3.677 b=3.677 c=11.054 alpha=90.00 beta=90.00 gamma=90.00
Sites, in units of the cell vectors:
Pm1 0.000 0.000 0.165
Pm2 0.000 0.000 0.835
Pr1 0.000 0.000 0.500
Zn1 0.500 0.500 0.000
Zn2 0.500 0.500 0.328
Zn3 0.500 0.500 0.672

Peak list (8 most intense, 10 to 90 degrees two-theta, in order of rising 2θ)
- 2θ 24.19, I 14
- 2θ 34.47, I 100
- 2θ 49.47, I 6
- 2θ 49.58, I 12
- 2θ 61.76, I 36
- 2θ 72.68, I 11
- 2θ 82.87, I 5
- 2θ 83.05, I 10

Calculated X-ray diffraction stick pattern
Compound: Pm3Pt
Radiation: Cu Kα (weighted mean of Kα1 and Kα2)
Structure: a cell relaxed with PBE
Lines closer than 0.1° are merged.

Structural model:
Unit cell a=9.135 b=9.135 c=9.135 alpha=96.54 beta=96.54 gamma=140.56
Sites, in units of the cell vectors:
Pm1 0.098 0.599 0.690
Pm2 0.106 0.250 0.857
Pm3 0.240 0.329 0.500
Pm4 0.260 0.760 0.089
Pm5 0.393 0.250 0.143
Pm6 0.401 0.091 0.500
Pm7 0.592 0.902 0.500
Pm8 0.671 0.172 0.911
Pm9 0.750 0.607 0.856
Pm10 0.750 0.894 0.144
Pm11 0.828 0.740 0.500
Pm12 0.909 0.408 0.310
Pt1 0.250 0.048 0.798
Pt2 0.250 0.452 0.202
Pt3 0.548 0.750 0.798
Pt4 0.952 0.750 0.202

Peak list (8 most intense, 10 to 90 degrees two-theta, in order of rising 2θ)
- 2θ 30.20, I 100
- 2θ 30.82, I 94
- 2θ 31.20, I 90
- 2θ 32.94, I 56
- 2θ 33.69, I 100
- 2θ 35.85, I 86
- 2θ 37.72, I 43
- 2θ 42.64, I 45